This entry pairs a crystal structure of Cs2CaLaBr6 with its calculated X-ray diffraction stick pattern. Radiation: Cu Kα, 1.54184 Å. Structure: a structure optimized by DFT (PBE).
Kinematic intensities with the Lorentz-polarization factor, no thermal factor.

Structure:
a b c (Å): 8.3172 11.7568 8.3071
angles (deg): 90.00 90.00 90.00
Space group Pmmn (No. 59, origin choice 2)
Symmetry-distinct sites (fractional):
Cs1 0.2500 0.0007 0.2501 x4
Ca1 0.2500 0.2500 0.7474 x2
La1 0.2500 0.7500 0.7528 x2
Br1 0.0044 0.2500 0.9924 x4
Br2 0.0053 0.2500 0.5016 x4
Br3 0.2500 0.0047 0.7497 x4

Principal peaks in the range 2θ from 5° to 70°, sorted by position:
21.38°, I = 42, hkl 2 0 0
25.12°, I = 7, hkl 1 3 0
26.26°, I = 74, hkl 2 2 0
30.41°, I = 100, hkl 2 0 2
37.48°, I = 19, hkl 3 2 1
43.55°, I = 73, hkl 4 0 0
49.01°, I = 9, hkl 4 0 2
51.57°, I = 33, hkl 4 2 2
54.04°, I = 25, hkl 4 4 0
58.78°, I = 11, hkl 4 4 2
63.29°, I = 12, hkl 0 8 0
69.74°, I = 13, hkl 6 2 0